Diffraction record for Pr4C2Br5. The X-ray diffraction stick pattern is computed, not measured: it uses the GGA-PBE geometry in the Materials Project and a wavelength of 1.5418 Å.

Atomic structure:
Cell: 25.795 3.466 7.824 Å, 90.00 106.29 90.00°
Space group Cm (No. 8)
Symmetry-distinct sites (fractional):
Pr 0.000 0.000 0.000 (multiplicity 2)
Pr 0.081 0.000 0.462 (multiplicity 2)
Pr 0.227 0.500 0.358 (multiplicity 2)
Pr 0.355 0.000 0.112 (multiplicity 2)
C 0.283 0.000 0.254 (multiplicity 2)
C 0.299 0.500 0.216 (multiplicity 2)
Br 0.044 0.500 0.740 (multiplicity 2)
Br 0.128 0.000 0.158 (multiplicity 2)
Br 0.202 0.000 0.655 (multiplicity 2)
Br 0.378 0.500 0.811 (multiplicity 2)
Br 0.454 0.500 0.312 (multiplicity 2)

Most intense lines, 2θ = 10–90°, sorted by position:
- 2θ = 11.8°, d 7.510, I = 29, hkl 0 0 1
- 2θ = 11.9°, d 7.408, I = 32, hkl 2 0 -1
- 2θ = 15.4°, d 5.746, I = 66, hkl 2 0 1
- 2θ = 27.4°, d 3.252, I = 53, hkl 6 0 1
- 2θ = 29.2°, d 3.063, I = 81, hkl 3 1 -1
- 2θ = 31.5°, d 2.837, I = 29, hkl 5 1 0
- 2θ = 34.3°, d 2.615, I = 33, hkl 8 0 1
- 2θ = 34.7°, d 2.585, I = 100, hkl 4 0 -3
- 2θ = 35.6°, d 2.525, I = 35, hkl 5 1 1
- 2θ = 41.0°, d 2.204, I = 56, hkl 9 1 -1